Starting from a structure optimized by DFT (GGA+U), the powder X-ray diffraction pattern of Nd2Mo2O7 was simulated for Cu Ka.
Lines closer than 0.1° are merged.

Structure:
```
data_Nd2Mo2O7
_cell_length_a 7.5211
_cell_length_b 7.5211
_cell_length_c 10.6196
_cell_angle_alpha 90.00
_cell_angle_beta 90.00
_cell_angle_gamma 90.00
_space_group_name_H-M_alt 'I 41/a'
_space_group_IT_number 88
loop_
_space_group_symop_operation_xyz
'x,y,z'
'-x,-y,-z'
'-y+3/4,x+1/4,z+1/4'
'y+3/4,-x+1/4,-z+1/4'
'-x+1/2,-y,z+1/2'
'x+1/2,y,-z+1/2'
'y+3/4,-x+3/4,z+3/4'
'-y+3/4,x+3/4,-z+3/4'
'x+1/2,y+1/2,z+1/2'
'-x+1/2,-y+1/2,-z+1/2'
'-y+1/4,x+3/4,z+3/4'
'y+1/4,-x+3/4,-z+3/4'
'-x,-y+1/2,z'
'x,y+1/2,-z'
'y+1/4,-x+1/4,z+1/4'
'-y+1/4,x+1/4,-z+1/4'
loop_
_atom_site_label
_atom_site_fract_x
_atom_site_fract_y
_atom_site_fract_z
Nd1 0.0000 0.0000 0.0000
Mo1 0.0000 0.0000 0.5000
O1 0.0000 0.2500 0.1250
O2 0.0000 0.2500 0.4169
O3 0.2087 0.0411 0.6308
```

Most intense lines, 2θ from 10° to 90°, low angle first:
- 2θ = 14.43°, I = 3.1
- 2θ = 29.10°, I = 100.0
- 2θ = 33.72°, I = 31.7
- 2θ = 36.85°, I = 4.9
- 2θ = 48.44°, I = 48.0
- 2θ = 57.50°, I = 42.9
- 2θ = 60.32°, I = 9.8
- 2θ = 70.88°, I = 4.6
- 2θ = 71.01°, I = 2.3
- 2θ = 78.42°, I = 17.4
- 2θ = 80.84°, I = 9.3
- 2θ = 80.95°, I = 4.7


Starting from a structure optimized by DFT (GGA+U), the powder X-ray diffraction pattern of NdMo5O8 was simulated for Cu Ka.
Lines closer than 0.1° are merged.

Structure:
```
data_NdMo5O8
_cell_length_a 8.3040
_cell_length_b 9.2063
_cell_length_c 10.4546
_cell_angle_alpha 90.00
_cell_angle_beta 111.18
_cell_angle_gamma 90.00
_space_group_name_H-M_alt 'P 1 21/c 1'
_space_group_IT_number 14
loop_
_space_group_symop_operation_xyz
'x,y,z'
'-x,-y,-z'
'-x,y+1/2,-z+1/2'
'x,-y+1/2,z+1/2'
loop_
_atom_site_label
_atom_site_fract_x
_atom_site_fract_y
_atom_site_fract_z
Nd1 0.2248 0.0206 0.4836
Mo1 0.1010 0.1227 0.8148
Mo2 0.1149 0.6378 0.4822
Mo3 0.2906 0.6449 0.2838
Mo4 0.3078 0.1265 0.1337
Mo5 0.4933 0.1229 0.9247
O1 0.0923 0.5115 0.1467
O2 0.0945 0.0005 0.1435
O3 0.1008 0.2466 0.9901
O4 0.1211 0.7086 0.8345
O5 0.2939 0.2272 0.3112
O6 0.3149 0.7334 0.1048
O7 0.4682 0.0026 0.7470
O8 0.4892 0.2386 0.5839
```

Most intense lines, 2θ from 10° to 90°, low angle first:
- 2θ = 29.14°, I = 41.5
- 2θ = 29.38°, I = 45.0
- 2θ = 30.54°, I = 100.0
- 2θ = 32.26°, I = 72.4
- 2θ = 33.96°, I = 71.3
- 2θ = 34.33°, I = 31.8
- 2θ = 35.77°, I = 62.3
- 2θ = 39.72°, I = 28.7
- 2θ = 44.47°, I = 36.9
- 2θ = 45.64°, I = 38.6
- 2θ = 48.08°, I = 32.1
- 2θ = 61.65°, I = 40.7